# 1
# Ho2Tm8Sc3
Calculated powder diffraction line list, copper Kα. Input: DFT lattice parameters and positions (GGA-PBE).
No peak broadening, texture or thermal motion is included.

Structural model:
a b c (Å): 5.5411 6.1457 11.5347
angles (deg): 78.69 79.66 88.61
Space group P-1 (No. 2)
Inequivalent atoms, fractional coordinates:
Ho 0.2473 0.1624 0.0066
Tm 0.1174 0.0547 0.3376
Tm 0.1880 0.6042 0.1700
Tm 0.3040 0.7158 0.8484
Tm 0.3598 0.2601 0.6985
Sc 0.0000 0.5000 0.5000
Sc 0.4342 0.7620 0.5608

Main lines, by angle (10° ≤ 2θ ≤ 90°):
- (0 1 -3), 2θ = 30.7°, I = 68
- (2 0 1), 2θ = 32.4°, I = 66
- (-1 1 3), 2θ = 32.7°, I = 100
- (1 2 1), 2θ = 33.0°, I = 58
- (1 -2 0), 2θ = 33.8°, I = 47
- (1 1 4), 2θ = 34.1°, I = 66

=====

# 2
# InCuSn
Calculated powder diffraction line list, copper Kα. Input: DFT lattice parameters and positions (GGA-PBE).
No peak broadening, texture or thermal motion is included.

Structural model:
a b c (Å): 5.0278 4.1843 6.4816
angles (deg): 90.00 96.84 90.00
Space group P2_1/m (No. 11)
Inequivalent atoms, fractional coordinates:
In 0.2010 0.2500 0.3348
Cu 0.1489 0.7500 0.0320
Sn 0.3331 0.2500 0.8019

Main lines, by angle (10° ≤ 2θ ≤ 90°):
- (1 1 0), 2θ = 27.8°, I = 100
- (1 1 -1), 2θ = 30.2°, I = 68
- (0 1 2), 2θ = 35.2°, I = 75
- (1 1 -2), 2θ = 38.1°, I = 47
- (1 1 2), 2θ = 41.2°, I = 46
- (0 2 0), 2θ = 43.2°, I = 48